This entry pairs a crystal structure of Na2Ga12Cu7 with its theoretical X-ray powder pattern. Radiation: Cu Ka. Structure: a DFT-relaxed cell (GGA-PBE, Alexandria).
Kinematic intensities with the Lorentz-polarization factor, no thermal factor.

Cell and atoms:
Cell: 10.157 10.157 3.969 Å, 90.00 90.00 120.00°
Sites, in units of the cell vectors:
Na1 0.333 0.667 0.257
Na2 0.667 0.333 0.743
Ga1 0.051 0.438 0.750
Ga2 0.116 0.265 0.253
Ga3 0.149 0.884 0.253
Ga4 0.265 0.149 0.747
Ga5 0.388 0.949 0.750
Ga6 0.438 0.388 0.250
Ga7 0.562 0.612 0.750
Ga8 0.612 0.051 0.250
Ga9 0.735 0.851 0.253
Ga10 0.851 0.116 0.747
Ga11 0.884 0.735 0.747
Ga12 0.949 0.562 0.250
Cu1 0.000 0.000 0.500
Cu2 0.126 0.714 0.758
Cu3 0.286 0.412 0.758
Cu4 0.412 0.126 0.242
Cu5 0.588 0.874 0.758
Cu6 0.714 0.588 0.242
Cu7 0.874 0.286 0.242

Main lines, most intense first (2θ from 10° to 90°):
Position (°2θ)  I/Imax  index
35.21  100  2 1 1
43.55  51  4 -1 1
47.36  34  1 4 0
17.46  32  1 1 0
45.72  26  0 0 2
47.25  24  0 4 1